For Ho2Al9Ir3, DFT lattice parameters and positions (GGA-PBE) gives the simulated XRD peak list in this record (Cu Kα X-rays).

Structure:
```
data_Ho2Al9Ir3
_cell_length_a 13.025
_cell_length_b 7.597
_cell_length_c 9.472
_cell_angle_alpha 90.00
_cell_angle_beta 90.00
_cell_angle_gamma 90.00
_symmetry_space_group_name_H-M 'C m c m'
_symmetry_Int_Tables_number 63
_symmetry_space_group_name_Hall '-C 2c 2'
loop_
_atom_site_label
_atom_site_type_symbol
_atom_site_fract_x
_atom_site_fract_y
_atom_site_fract_z
_atom_site_occupancy
Ho1 Ho 0.164 0.168 0.250 1
Al1 Al 0.000 0.126 0.750 1
Al2 Al 0.000 0.334 0.055 1
Al3 Al 0.104 0.442 0.750 1
Al4 Al 0.166 0.168 0.573 1
Ir1 Ir 0.000 0.000 0.000 1
Ir2 Ir 0.172 0.500 0.000 1
```

Largest 8 diffraction maxima, low angle first, 2θ from 10° to 90°:
2θ (°), d (Å), Rel. int., h k l
23.60, 3.770, 30, 3 1 0
30.16, 2.963, 52, 0 2 2
30.30, 2.949, 100, 3 1 2
38.00, 2.368, 31, 0 0 4
41.27, 2.187, 59, 3 3 0
41.60, 2.171, 29, 6 0 0
52.24, 1.751, 27, 6 2 2
57.34, 1.607, 31, 3 3 4

For Ba2PrNbCu2O8, DFT lattice parameters and positions (GGA-PBE) gives the simulated XRD peak list in this record (Cu Kα X-rays).

Structure:
```
data_Ba2PrNbCu2O8
_cell_length_a 5.652
_cell_length_b 5.652
_cell_length_c 24.512
_cell_angle_alpha 90.00
_cell_angle_beta 90.00
_cell_angle_gamma 90.00
_symmetry_space_group_name_H-M 'I 4/m c m'
_symmetry_Int_Tables_number 140
_symmetry_space_group_name_Hall '-I 4 2c'
loop_
_atom_site_label
_atom_site_type_symbol
_atom_site_fract_x
_atom_site_fract_y
_atom_site_fract_z
_atom_site_occupancy
Ba1 Ba 0.000 0.500 0.098 1
Pr1 Pr 0.000 0.500 0.250 1
Nb1 Nb 0.000 0.000 0.000 1
Cu1 Cu 0.000 0.000 0.179 1
O1 O 0.000 0.000 0.082 1
O2 O 0.209 0.291 0.000 1
O3 O 0.248 0.252 0.313 1
```

Largest 8 diffraction maxima, low angle first, 2θ from 10° to 90°:
2θ (°), d (Å), Rel. int., h k l
31.31, 2.857, 100, 1 1 6
31.66, 2.826, 54, 2 0 0
36.97, 2.432, 14, 1 1 8
38.74, 2.324, 12, 2 0 6
45.38, 1.998, 34, 2 2 0
55.51, 1.656, 12, 2 0 12
56.17, 1.638, 39, 3 1 6
66.13, 1.413, 10, 4 0 0

For Na6Si2Se7, DFT lattice parameters and positions (GGA-PBE) gives the simulated XRD peak list in this record (Cu Kα X-rays).

Structure:
```
data_Na6Si2Se7
_cell_length_a 9.486
_cell_length_b 10.940
_cell_length_c 15.982
_cell_angle_alpha 90.00
_cell_angle_beta 104.69
_cell_angle_gamma 90.00
_symmetry_space_group_name_H-M 'C 1 2/c 1'
_symmetry_Int_Tables_number 15
loop_
_symmetry_equiv_pos_as_xyz
'x,y,z'
'-x,-y,-z'
'-x,y,-z+1/2'
'x,-y,z+1/2'
'x+1/2,y+1/2,z'
'-x+1/2,-y+1/2,-z'
'-x+1/2,y+1/2,-z+1/2'
'x+1/2,-y+1/2,z+1/2'
loop_
_atom_site_label
_atom_site_type_symbol
_atom_site_fract_x
_atom_site_fract_y
_atom_site_fract_z
_atom_site_occupancy
Na1 Na 0.000 0.000 0.000 1
Na2 Na 0.000 0.082 0.250 1
Na3 Na 0.119 0.352 0.571 1
Na4 Na 0.233 0.222 0.858 1
Si1 Si 0.157 0.420 0.359 1
Se1 Se 0.000 0.464 0.750 1
Se2 Se 0.054 0.246 0.394 1
Se3 Se 0.132 0.124 0.679 1
Se4 Se 0.195 0.435 0.967 1
```

Largest 8 diffraction maxima, low angle first, 2θ from 10° to 90°:
2θ (°), d (Å), Rel. int., h k l
23.30, 3.818, 83, 1 1 3
26.38, 3.379, 75, 1 3 -1
28.27, 3.156, 97, 0 2 4
29.45, 3.033, 100, 3 1 -1
29.71, 3.007, 67, 3 1 -2
30.18, 2.962, 97, 1 3 -3
33.29, 2.692, 70, 0 2 5
43.71, 2.071, 61, 4 2 -4